Structure and computed X-ray diffraction stick pattern of NaPmBr4 (the GGA-PBE geometry in Alexandria; Cu Kα (λ = 1.5418 Å)).
Neutral-atom scattering factors, no anomalous dispersion.

Structural model:
Cell lengths 8.838, 17.348, 7.240 Å; angles 90.00, 126.12, 90.00 degrees
Space group C2/c (No. 15)
Symmetry-distinct sites (fractional):
Na (0.000, 0.093, 0.250) (multiplicity 4)
Pm (0.000, 0.416, 0.750) (multiplicity 4)
Br (0.234, 0.313, 0.745) (multiplicity 8)
Br (0.237, 0.457, 0.236) (multiplicity 8)

Largest 10 diffraction maxima, by angle, 10 to 90 degrees two-theta:
2θ = 10.20°, intensity 31
2θ = 13.41°, intensity 46
2θ = 18.30°, intensity 51
2θ = 25.57°, intensity 27
2θ = 28.85°, intensity 100
2θ = 30.57°, intensity 52
2θ = 40.85°, intensity 25
2θ = 42.14°, intensity 36
2θ = 42.94°, intensity 33
2θ = 52.55°, intensity 20